For Hf3VSe8, a structure optimized by DFT (PBE) gives the theoretical powder diffractogram in this record (a wavelength of 1.5418 Å).

The 10 most intense peaks (2θ from 15° to 90°), sorted by position:
28.32 deg, rel. 45, hkl 4 0 -1
32.76 deg, rel. 100, hkl 2 2 -2
32.95 deg, rel. 51, hkl 4 0 0
41.11 deg, rel. 26, hkl 2 2 -3
41.38 deg, rel. 12, hkl 4 0 1
44.37 deg, rel. 20, hkl 4 0 -4
44.67 deg, rel. 40, hkl 2 2 2
49.53 deg, rel. 47, hkl 0 4 0
56.03 deg, rel. 13, hkl 2 2 3
60.78 deg, rel. 16, hkl 4 4 0

Atomic structure:
Lattice parameters (Å, degrees): 12.7520 7.3611 8.2541 90.00 121.49 90.00
Space group C2/m (No. 12)
Asymmetric unit:
1 Hf 0.0000 0.0000 0.0000
2 Hf 0.2500 0.2500 0.0000
3 V 0.0000 0.5000 0.0000
4 Se 0.0051 0.2594 0.7780
5 Se 0.2355 0.5000 0.2221
6 Se 0.2446 0.0000 0.2305



For HfSi4, a structure optimized by DFT (PBE) gives the theoretical powder diffractogram in this record (a wavelength of 1.5418 Å).

The 10 most intense peaks (2θ from 15° to 90°), sorted by position:
17.68 deg, rel. 100, hkl 1 0 0
25.11 deg, rel. 87, hkl 1 1 0
35.81 deg, rel. 48, hkl 2 0 0
40.20 deg, rel. 51, hkl 2 1 0
44.23 deg, rel. 39, hkl 2 1 1
51.54 deg, rel. 33, hkl 2 2 0
54.92 deg, rel. 26, hkl 3 0 0
58.16 deg, rel. 18, hkl 3 1 0
70.22 deg, rel. 20, hkl 3 2 1
86.85 deg, rel. 16, hkl 4 2 0

Atomic structure:
Lattice parameters (Å, degrees): 5.0155 5.0155 5.0155 90.00 90.00 90.00
Space group Pm-3m (No. 221)
Asymmetric unit:
1 Hf 0.0000 0.0000 0.0000
2 Si 0.0000 0.0000 0.5000
3 Si 0.5000 0.5000 0.5000